For RbCu2SnTe4, a structure optimized by DFT (GGA-PBE) gives the computed PXRD pattern in this record (copper Kα).
Neutral-atom scattering factors, no anomalous dispersion.

Atomic structure:
a b c (Å): 7.081 9.105 9.148
angles (deg): 90.00 90.00 90.00
Sites, in units of the cell vectors:
Rb1 0.000 0.000 0.000
Rb2 0.500 0.500 0.500
Cu1 0.000 0.500 0.136
Cu2 0.000 0.500 0.864
Cu3 0.500 0.000 0.364
Cu4 0.500 0.000 0.636
Sn1 0.000 0.000 0.500
Sn2 0.500 0.500 0.000
Te1 0.239 0.179 0.334
Te2 0.239 0.821 0.666
Te3 0.261 0.321 0.834
Te4 0.261 0.679 0.166
Te5 0.739 0.321 0.166
Te6 0.739 0.679 0.834
Te7 0.761 0.179 0.666
Te8 0.761 0.821 0.334

Main lines, by angle (10 to 80 degrees two-theta):
| 2θ (°) | d/Å | I/Imax | (hkl) |
| --- | --- | --- | --- |
| 13.72 | 6.453 | 35 | 0 1 1 |
| 25.18 | 3.537 | 100 | 1 1 2 |
| 27.65 | 3.227 | 14 | 0 2 2 |
| 32.00 | 2.796 | 53 | 2 2 0 |
| 42.72 | 2.117 | 20 | 1 1 4 |
| 44.33 | 2.044 | 23 | 3 1 2 |
| 49.59 | 1.838 | 15 | 2 3 3 |
| 51.65 | 1.770 | 14 | 4 0 0 |

---

For Li2ZrZn2Pd2, a structure optimized by DFT (GGA-PBE) gives the computed PXRD pattern in this record (copper Kα).
Neutral-atom scattering factors, no anomalous dispersion.

Atomic structure:
a b c (Å): 8.689 4.045 6.181
angles (deg): 90.00 96.74 90.00
Sites, in units of the cell vectors:
Li1 0.087 0.000 0.196
Li2 0.413 0.500 0.804
Li3 0.587 0.500 0.196
Li4 0.913 0.000 0.804
Zr1 0.000 0.500 0.500
Zr2 0.500 0.000 0.500
Zn1 0.143 0.500 0.942
Zn2 0.357 0.000 0.058
Zn3 0.643 0.000 0.942
Zn4 0.857 0.500 0.058
Pd1 0.206 0.000 0.657
Pd2 0.294 0.500 0.343
Pd3 0.706 0.500 0.657
Pd4 0.794 0.000 0.343

Main lines, by angle (10 to 80 degrees two-theta):
| 2θ (°) | d/Å | I/Imax | (hkl) |
| --- | --- | --- | --- |
| 23.78 | 3.742 | 22 | 2 0 -1 |
| 24.30 | 3.662 | 22 | 1 1 0 |
| 27.74 | 3.216 | 27 | 1 1 -1 |
| 39.22 | 2.297 | 100 | 1 1 2 |
| 39.83 | 2.263 | 94 | 3 1 -1 |
| 44.82 | 2.022 | 34 | 0 2 0 |
| 46.21 | 1.964 | 31 | 4 0 1 |
| 46.86 | 1.939 | 28 | 2 0 -3 |

---

For TbPr6Sm6, a structure optimized by DFT (GGA-PBE) gives the computed PXRD pattern in this record (copper Kα).
Neutral-atom scattering factors, no anomalous dispersion.

Atomic structure:
a b c (Å): 6.805 6.805 11.590
angles (deg): 90.00 90.00 120.00
Sites, in units of the cell vectors:
Tb1 0.000 0.000 0.000
Pr1 0.000 0.500 0.248
Pr2 0.000 0.500 0.752
Pr3 0.500 0.000 0.248
Pr4 0.500 0.000 0.752
Pr5 0.500 0.500 0.248
Pr6 0.500 0.500 0.752
Sm1 0.000 0.000 0.353
Sm2 0.000 0.000 0.647
Sm3 0.333 0.667 0.000
Sm4 0.333 0.667 0.500
Sm5 0.667 0.333 0.000
Sm6 0.667 0.333 0.500

Main lines, by angle (10 to 80 degrees two-theta):
| 2θ (°) | d/Å | I/Imax | (hkl) |
| --- | --- | --- | --- |
| 26.19 | 3.402 | 48 | 1 1 0 |
| 30.33 | 2.947 | 56 | 2 0 0 |
| 30.47 | 2.934 | 100 | 1 1 2 |
| 30.86 | 2.897 | 32 | 0 0 4 |
| 34.14 | 2.627 | 93 | 2 0 2 |
| 34.49 | 2.600 | 36 | 1 0 4 |
| 53.89 | 1.701 | 40 | 2 2 0 |
| 54.64 | 1.680 | 34 | 1 1 6 |